The following is a simulated X-ray powder pattern of Th8Tc2Sn. It was derived from DFT lattice parameters and positions (GGA-PBE), using Cu Kα (weighted mean of Kα1 and Kα2).
Peak positions follow from Bragg's law for the DFT cell and can differ from measured ones.

Top 10 peaks for 10 to 90 degrees two-theta, low angle first:
| 2theta | I (rel.) | h k l |
| --- | --- | --- |
| 29.6 | 80 | 2 0 1 |
| 30.8 | 100 | 0 4 1 |
| 32.6 | 54 | 1 1 -2 |
| 32.8 | 66 | 3 1 -1 |
| 33.7 | 96 | 2 4 0 |
| 35.3 | 28 | 0 2 2 |
| 37.1 | 49 | 1 5 -1 |
| 45.0 | 31 | 3 3 -2 |
| 51.3 | 35 | 2 4 2 |
| 62.4 | 28 | 2 8 1 |

Structural model:
```
data_Th8Tc2Sn
_chemical_formula_sum 'Th16 Tc4 Sn2'
_cell_length_a 8.688
_cell_length_b 13.699
_cell_length_c 5.634
_cell_angle_alpha 90.00
_cell_angle_beta 103.62
_cell_angle_gamma 90.00
_space_group_name_H-M_alt 'C 1 2/m 1'
_space_group_IT_number 12
loop_
_space_group_symop_operation_xyz
'x,y,z'
'-x,-y,-z'
'-x,y,-z'
'x,-y,z'
'x+1/2,y+1/2,z'
'-x+1/2,-y+1/2,-z'
'-x+1/2,y+1/2,-z'
'x+1/2,-y+1/2,z'
loop_
_atom_site_label
_atom_site_type_symbol
_atom_site_fract_x
_atom_site_fract_y
_atom_site_fract_z
Th1 Th 0.000 0.249 0.000
Th2 Th 0.101 0.000 0.804
Th3 Th 0.206 0.379 0.574
Tc1 Tc 0.000 0.208 0.500
Sn1 Sn 0.000 0.500 0.000
```